Starting from a PBE-relaxed structure, the X-ray diffraction stick pattern of PrInS2 was calculated for Cu Kα (λ = 1.5418 Å).
Neutral-atom scattering factors, no anomalous dispersion.

Lattice parameters (Å, degrees): 7.9651 7.9651 7.9651 30.45 30.45 30.45
Sites, in units of the cell vectors:
Pr  0.0000  0.0000  0.0000
In  0.8273  0.8273  0.8273
S  0.4058  0.4058  0.4058
S  0.6017  0.6017  0.6017

Most intense lines, 5° ≤ 2θ ≤ 70°, sorted by position:
2θ = 23.4°, intensity 31
2θ = 24.9°, intensity 62
2θ = 25.8°, intensity 35
2θ = 29.2°, intensity 18
2θ = 31.6°, intensity 100
2θ = 37.1°, intensity 36
2θ = 43.3°, intensity 48
2θ = 47.1°, intensity 18
2θ = 49.8°, intensity 26
2θ = 50.8°, intensity 10
2θ = 54.5°, intensity 20
2θ = 66.5°, intensity 19



Starting from a PBE-relaxed structure, the X-ray diffraction stick pattern of Ba8Cd2In3 was calculated for Cu Kα (λ = 1.5418 Å).
Neutral-atom scattering factors, no anomalous dispersion.

Lattice parameters (Å, degrees): 10.4913 10.4913 5.9934 90.00 90.00 110.40
Sites, in units of the cell vectors:
Ba  0.1223  0.8777  0.0000
Ba  0.1295  0.3745  0.5000
Ba  0.3745  0.1295  0.5000
Ba  0.3762  0.6238  0.0000
Ba  0.6238  0.3762  0.0000
Ba  0.6255  0.8705  0.5000
Ba  0.8705  0.6255  0.5000
Ba  0.8777  0.1223  0.0000
Cd  0.2502  0.7498  0.5000
Cd  0.7498  0.2502  0.5000
In  0.2537  0.2537  0.0000
In  0.5000  0.5000  0.5000
In  0.7463  0.7463  0.0000

Most intense lines, 5° ≤ 2θ ≤ 70°, sorted by position:
2θ = 18.0°, intensity 15
2θ = 21.0°, intensity 10
2θ = 29.6°, intensity 100
2θ = 29.8°, intensity 49
2θ = 35.1°, intensity 6
2θ = 41.9°, intensity 9
2θ = 42.7°, intensity 18
2θ = 52.3°, intensity 20
2θ = 52.8°, intensity 38
2θ = 61.4°, intensity 12
2θ = 62.0°, intensity 6
2θ = 69.1°, intensity 8